No. 1
Cs2MgCdAs: simulated X-ray powder pattern (a wavelength of 1.5418 Å), based on a crystal structure in Alexandria, relaxed with PBE.
No peak broadening, texture or thermal motion is included.

Structure:
```
data_Cs2MgCdAs
_chemical_formula_sum 'Cs2 Mg1 Cd1 As1'
_cell_length_a 7.3433
_cell_length_b 7.3433
_cell_length_c 4.9933
_cell_angle_alpha 90.00
_cell_angle_beta 90.00
_cell_angle_gamma 90.00
_symmetry_space_group_name_H-M 'P 4/m m m'
_symmetry_Int_Tables_number 123
_symmetry_space_group_name_Hall '-P 4 2'
loop_
_atom_site_label
_atom_site_type_symbol
_atom_site_fract_x
_atom_site_fract_y
_atom_site_fract_z
Cs1 Cs 0.0000 0.5000 0.0000
Mg1 Mg 0.0000 0.0000 0.5000
Cd1 Cd 0.5000 0.5000 0.5000
As1 As 0.0000 0.0000 0.0000
```

Peak list (10 most intense, 10° ≤ 2θ ≤ 90°, in order of rising 2θ)
hkl 1 0 1, d = 4.129 Å, 21.5°, intensity 32; hkl 2 0 0, d = 3.672 Å, 24.2°, intensity 100; hkl 1 1 1, d = 3.599 Å, 24.7°, intensity 87; hkl 2 1 1, d = 2.744 Å, 32.6°, intensity 23; hkl 2 2 0, d = 2.596 Å, 34.5°, intensity 40; hkl 3 1 1, d = 2.106 Å, 43.0°, intensity 39; hkl 2 0 2, d = 2.065 Å, 43.9°, intensity 40; hkl 2 2 2, d = 1.800 Å, 50.7°, intensity 26; hkl 4 2 0, d = 1.642 Å, 56.0°, intensity 19; hkl 4 2 2, d = 1.372 Å, 68.4°, intensity 21

No. 2
CdCuAs: simulated X-ray powder pattern (a wavelength of 1.5418 Å), based on a crystal structure in Alexandria, relaxed with PBE.
No peak broadening, texture or thermal motion is included.

Structure:
```
data_CdCuAs
_chemical_formula_sum 'Cd4 Cu4 As4'
_cell_length_a 7.3657
_cell_length_b 4.2828
_cell_length_c 7.5690
_cell_angle_alpha 90.00
_cell_angle_beta 91.68
_cell_angle_gamma 90.00
_symmetry_space_group_name_H-M 'C 1 m 1'
_symmetry_Int_Tables_number 8
_symmetry_space_group_name_Hall 'C -2y'
loop_
_atom_site_label
_atom_site_type_symbol
_atom_site_fract_x
_atom_site_fract_y
_atom_site_fract_z
Cd1 Cd 0.0000 0.0000 0.0000
Cd2 Cd 0.1597 0.5000 0.7706
Cu1 Cu 0.3393 0.0000 0.2330
Cu2 Cu 0.4897 0.5000 0.6178
As1 As 0.1706 0.5000 0.1772
As2 As 0.3226 0.0000 0.5520
```

Peak list (10 most intense, 10° ≤ 2θ ≤ 90°, in order of rising 2θ)
hkl 0 0 2, d = 3.783 Å, 23.5°, intensity 26; hkl 1 1 -1, d = 3.346 Å, 26.6°, intensity 45; hkl 1 1 1, d = 3.306 Å, 27.0°, intensity 26; hkl 1 1 -2, d = 2.666 Å, 33.6°, intensity 47; hkl 1 1 2, d = 2.627 Å, 34.1°, intensity 43; hkl 0 2 0, d = 2.141 Å, 42.2°, intensity 52; hkl 3 1 0, d = 2.129 Å, 42.5°, intensity 100; hkl 2 0 -3, d = 2.110 Å, 42.9°, intensity 37; hkl 1 1 3, d = 2.070 Å, 43.7°, intensity 64; hkl 3 3 0, d = 1.234 Å, 77.3°, intensity 30

No. 3
Cd2AsF: simulated X-ray powder pattern (a wavelength of 1.5418 Å), based on a crystal structure in Alexandria, relaxed with PBE.
No peak broadening, texture or thermal motion is included.

Structure:
```
data_Cd2AsF
_chemical_formula_sum 'Cd4 As2 F2'
_cell_length_a 4.5115
_cell_length_b 9.2315
_cell_length_c 4.3067
_cell_angle_alpha 90.00
_cell_angle_beta 90.00
_cell_angle_gamma 90.00
_symmetry_space_group_name_H-M 'P m n 21'
_symmetry_Int_Tables_number 31
_symmetry_space_group_name_Hall 'P 2ac -2'
loop_
_atom_site_label
_atom_site_type_symbol
_atom_site_fract_x
_atom_site_fract_y
_atom_site_fract_z
Cd1 Cd 0.0000 0.0623 0.0000
Cd2 Cd 0.0000 0.6294 0.8637
As1 As 0.0000 0.8107 0.3436
F1 F 0.0000 0.4581 0.4710
```

Peak list (10 most intense, 10° ≤ 2θ ≤ 90°, in order of rising 2θ)
hkl 1 1 0, d = 4.053 Å, 21.9°, intensity 38; hkl 1 2 0, d = 3.226 Å, 27.6°, intensity 33; hkl 0 2 1, d = 3.149 Å, 28.3°, intensity 100; hkl 1 0 1, d = 3.115 Å, 28.7°, intensity 29; hkl 1 1 1, d = 2.952 Å, 30.3°, intensity 29; hkl 1 2 1, d = 2.582 Å, 34.7°, intensity 20; hkl 2 0 0, d = 2.256 Å, 40.0°, intensity 37; hkl 1 3 1, d = 2.189 Å, 41.2°, intensity 52; hkl 1 1 2, d = 1.902 Å, 47.8°, intensity 24; hkl 2 2 1, d = 1.834 Å, 49.7°, intensity 40

No. 4
CdAs2S2O4F12: simulated X-ray powder pattern (a wavelength of 1.5418 Å), based on a crystal structure in Alexandria, relaxed with PBE.
No peak broadening, texture or thermal motion is included.

Structure:
```
data_CdAs2S2O4F12
_chemical_formula_sum 'Cd8 As16 S16 O32 F96'
_cell_length_a 15.8165
_cell_length_b 18.5840
_cell_length_c 9.2830
_cell_angle_alpha 90.00
_cell_angle_beta 90.00
_cell_angle_gamma 90.00
_symmetry_space_group_name_H-M 'F d d 2'
_symmetry_Int_Tables_number 43
_symmetry_space_group_name_Hall 'F 2 -2d'
loop_
_atom_site_label
_atom_site_type_symbol
_atom_site_fract_x
_atom_site_fract_y
_atom_site_fract_z
Cd1 Cd 0.0000 0.0000 0.0000
As1 As 0.0906 0.3066 0.5720
S1 S 0.0944 0.3475 0.0476
O1 O 0.0688 0.3925 0.1657
O2 O 0.0878 0.0451 0.8261
F1 F 0.0043 0.2972 0.4537
F2 F 0.0230 0.3180 0.7191
F3 F 0.0698 0.0697 0.4290
F4 F 0.0879 0.4032 0.5359
F5 F 0.0896 0.0497 0.1661
F6 F 0.0950 0.2126 0.5960
```

Peak list (10 most intense, 10° ≤ 2θ ≤ 90°, in order of rising 2θ)
hkl 1 1 1, d = 7.353 Å, 12.0°, intensity 90; hkl 3 1 1, d = 4.451 Å, 19.9°, intensity 64; hkl 0 2 2, d = 4.152 Å, 21.4°, intensity 22; hkl 2 4 0, d = 4.005 Å, 22.2°, intensity 100; hkl 2 2 2, d = 3.680 Å, 24.2°, intensity 98; hkl 1 5 1, d = 3.371 Å, 26.4°, intensity 50; hkl 2 6 0, d = 2.886 Å, 31.0°, intensity 22; hkl 4 2 2, d = 2.863 Å, 31.2°, intensity 42; hkl 4 0 4, d = 2.001 Å, 45.3°, intensity 31; hkl 3 9 3, d = 1.632 Å, 56.4°, intensity 17

No. 5
Tl2CdAsF6: simulated X-ray powder pattern (a wavelength of 1.5418 Å), based on a crystal structure in Alexandria, relaxed with PBE.
No peak broadening, texture or thermal motion is included.

Structure:
```
data_Tl2CdAsF6
_chemical_formula_sum 'Tl4 Cd2 As2 F12'
_cell_length_a 6.3846
_cell_length_b 6.4069
_cell_length_c 9.0464
_cell_angle_alpha 90.00
_cell_angle_beta 90.00
_cell_angle_gamma 90.00
_symmetry_space_group_name_H-M 'I m m m'
_symmetry_Int_Tables_number 71
_symmetry_space_group_name_Hall '-I 2 2'
loop_
_atom_site_label
_atom_site_type_symbol
_atom_site_fract_x
_atom_site_fract_y
_atom_site_fract_z
Tl1 Tl 0.0000 0.0000 0.2492
Cd1 Cd 0.0000 0.5000 0.5000
As1 As 0.0000 0.5000 0.0000
F1 F 0.0000 0.5000 0.2309
F2 F 0.2311 0.2694 0.0000
```

Peak list (10 most intense, 10° ≤ 2θ ≤ 90°, in order of rising 2θ)
hkl 1 1 0, d = 4.523 Å, 19.6°, intensity 9; hkl 2 0 0, d = 3.198 Å, 27.9°, intensity 100; hkl 2 0 2, d = 2.611 Å, 34.3°, intensity 13; hkl 2 2 0, d = 2.261 Å, 39.9°, intensity 31; hkl 2 0 4, d = 1.847 Å, 49.3°, intensity 28; hkl 3 1 2, d = 1.844 Å, 49.4°, intensity 14; hkl 2 2 4, d = 1.599 Å, 57.6°, intensity 13; hkl 3 3 2, d = 1.431 Å, 65.2°, intensity 16; hkl 2 4 4, d = 1.210 Å, 79.2°, intensity 11; hkl 4 2 4, d = 1.208 Å, 79.3°, intensity 7

Number 2 is which compound?
CdCuAs